Structure and computed powder diffraction line list of Ti3MoRu2 (a GGA-PBE-relaxed structure; λ = 1.5418 Å (Cu Kα)).
Lines closer than 0.1° are merged.

Top 10 peaks for 10 to 80 degrees two-theta, sorted by position:
| 2θ/deg | I (rel.) |
| --- | --- |
| 28.44 | 9 |
| 28.84 | 17 |
| 40.95 | 100 |
| 41.24 | 49 |
| 50.85 | 7 |
| 58.86 | 8 |
| 59.74 | 16 |
| 66.85 | 3 |
| 74.38 | 16 |
| 74.97 | 31 |

Structural model:
a b c (Å): 3.0960 3.0960 9.4144
angles (deg): 90.00 90.00 90.00
Space group P4/mmm (No. 123)
Symmetry-distinct sites (fractional):
Ti: 0.0000 0.0000 0.0000 (multiplicity 1)
Ti: 0.0000 0.0000 0.3284 (multiplicity 2)
Mo: 0.5000 0.5000 0.5000 (multiplicity 1)
Ru: 0.5000 0.5000 0.1626 (multiplicity 2)

***

Structure and computed powder diffraction line list of TbPuRu (a GGA-PBE-relaxed structure; λ = 1.5418 Å (Cu Kα)).
Lines closer than 0.1° are merged.

Top 10 peaks for 10 to 80 degrees two-theta, sorted by position:
| 2θ/deg | I (rel.) |
| --- | --- |
| 15.03 | 18 |
| 28.29 | 25 |
| 32.00 | 100 |
| 33.29 | 75 |
| 35.67 | 64 |
| 37.68 | 49 |
| 44.73 | 38 |
| 58.48 | 32 |
| 58.99 | 19 |
| 59.26 | 19 |

Structural model:
a b c (Å): 11.8882 4.0520 11.8303
angles (deg): 90.00 96.75 90.00
Space group C2/m (No. 12)
Symmetry-distinct sites (fractional):
Tb: 0.0817 0.0000 0.1530 (multiplicity 4)
Tb: 0.0920 0.5000 0.6781 (multiplicity 4)
Pu: 0.1361 0.0000 0.4481 (multiplicity 4)
Pu: 0.2101 0.0000 0.8889 (multiplicity 4)
Ru: 0.0916 0.5000 0.9404 (multiplicity 4)
Ru: 0.2191 0.5000 0.3334 (multiplicity 4)

***

Structure and computed powder diffraction line list of Rb3AlGa4 (a GGA-PBE-relaxed structure; λ = 1.5418 Å (Cu Kα)).
Lines closer than 0.1° are merged.

Top 10 peaks for 10 to 80 degrees two-theta, sorted by position:
| 2θ/deg | I (rel.) |
| --- | --- |
| 14.41 | 22 |
| 22.26 | 23 |
| 24.73 | 100 |
| 27.30 | 24 |
| 27.71 | 38 |
| 29.01 | 19 |
| 33.07 | 20 |
| 34.51 | 20 |
| 34.88 | 30 |
| 35.38 | 23 |

Structural model:
a b c (Å): 9.2315 8.2430 16.0716
angles (deg): 90.00 90.08 90.00
Space group P2_1/c (No. 14)
Symmetry-distinct sites (fractional):
Rb: 0.0030 0.1342 0.1290 (multiplicity 4)
Rb: 0.2507 0.6423 0.1411 (multiplicity 4)
Rb: 0.4972 0.1346 0.1284 (multiplicity 4)
Al: 0.2499 0.5138 0.8190 (multiplicity 4)
Ga: 0.1000 0.0413 0.4512 (multiplicity 4)
Ga: 0.2496 0.1928 0.9543 (multiplicity 4)
Ga: 0.2520 0.1975 0.7954 (multiplicity 4)
Ga: 0.3997 0.0416 0.4514 (multiplicity 4)

***

Structure and computed powder diffraction line list of HS5Br (a GGA-PBE-relaxed structure; λ = 1.5418 Å (Cu Kα)).
Lines closer than 0.1° are merged.

Top 10 peaks for 10 to 80 degrees two-theta, sorted by position:
| 2θ/deg | I (rel.) |
| --- | --- |
| 21.20 | 18 |
| 21.65 | 100 |
| 22.78 | 92 |
| 24.07 | 17 |
| 24.60 | 58 |
| 27.26 | 27 |
| 29.08 | 17 |
| 30.29 | 62 |
| 31.53 | 23 |
| 49.12 | 22 |

Structural model:
a b c (Å): 4.2406 7.3144 7.9529
angles (deg): 65.24 82.92 82.27
Space group P1 (No. 1)
Symmetry-distinct sites (fractional):
H: 0.0000 0.0000 0.0000 (multiplicity 1)
S: 0.1647 0.3753 0.4206 (multiplicity 1)
S: 0.1930 0.7667 0.6663 (multiplicity 1)
S: 0.4994 0.6699 0.8730 (multiplicity 1)
S: 0.7596 0.5347 0.3763 (multiplicity 1)
S: 0.8020 0.8974 0.7705 (multiplicity 1)
Br: 0.1635 0.0863 0.0955 (multiplicity 1)

***

Structure and computed powder diffraction line list of CsKAg2O2 (a GGA-PBE-relaxed structure; λ = 1.5418 Å (Cu Kα)).
Lines closer than 0.1° are merged.

Top 10 peaks for 10 to 80 degrees two-theta, sorted by position:
| 2θ/deg | I (rel.) |
| --- | --- |
| 17.21 | 46 |
| 24.99 | 100 |
| 27.57 | 42 |
| 27.98 | 28 |
| 28.82 | 38 |
| 30.71 | 27 |
| 33.20 | 56 |
| 33.54 | 53 |
| 37.55 | 32 |
| 37.86 | 28 |

Structural model:
a b c (Å): 6.7887 7.1254 6.9358
angles (deg): 90.00 97.34 90.00
Space group P2_1/m (No. 11)
Symmetry-distinct sites (fractional):
Cs: 0.2279 0.2500 0.0740 (multiplicity 2)
K: 0.4468 0.7500 0.3196 (multiplicity 2)
Ag: 0.0676 0.2500 0.5701 (multiplicity 2)
Ag: 0.2421 0.7500 0.7252 (multiplicity 2)
O: 0.2638 0.0310 0.7374 (multiplicity 4)

***

Structure and computed powder diffraction line list of Sm6Ho3Sc2 (a GGA-PBE-relaxed structure; λ = 1.5418 Å (Cu Kα)).
Lines closer than 0.1° are merged.

Top 10 peaks for 10 to 80 degrees two-theta, sorted by position:
| 2θ/deg | I (rel.) |
| --- | --- |
| 31.04 | 100 |
| 32.10 | 11 |
| 32.38 | 28 |
| 36.39 | 64 |
| 51.52 | 24 |
| 53.30 | 20 |
| 61.37 | 14 |
| 62.18 | 26 |
| 63.76 | 11 |
| 64.71 | 12 |

Structural model:
a b c (Å): 6.1442 10.6457 11.2474
angles (deg): 90.00 100.53 90.00
Space group C2/m (No. 12)
Symmetry-distinct sites (fractional):
Sm: 0.2457 0.1663 0.2378 (multiplicity 8)
Sm: 0.2467 0.5000 0.2378 (multiplicity 4)
Ho: 0.0000 0.1663 0.5000 (multiplicity 4)
Ho: 0.0000 0.5000 0.5000 (multiplicity 2)
Sc: 0.0000 0.3332 0.0000 (multiplicity 4)

***

Structure and computed powder diffraction line list of Rb2TeAuSe4 (a GGA-PBE-relaxed structure; λ = 1.5418 Å (Cu Kα)).
Lines closer than 0.1° are merged.

Top 10 peaks for 10 to 80 degrees two-theta, sorted by position:
| 2θ/deg | I (rel.) |
| --- | --- |
| 13.24 | 100 |
| 23.14 | 39 |
| 25.19 | 62 |
| 25.52 | 52 |
| 26.66 | 52 |
| 29.75 | 44 |
| 37.21 | 39 |
| 39.49 | 66 |
| 39.82 | 51 |
| 40.47 | 46 |

Structural model:
a b c (Å): 5.6079 16.2441 23.5668
angles (deg): 90.00 90.00 90.00
Space group Fddd (No. 70, origin choice 2)
Symmetry-distinct sites (fractional):
Rb: 0.1250 0.1250 0.3094 (multiplicity 16)
Te: 0.1250 0.1250 0.6250 (multiplicity 8)
Au: 0.1250 0.1250 0.1250 (multiplicity 8)
Se: 0.1051 0.2683 0.8002 (multiplicity 32)

***

Structure and computed powder diffraction line list of NdDy4N5 (a GGA-PBE-relaxed structure; λ = 1.5418 Å (Cu Kα)).
Lines closer than 0.1° are merged.

Top 6 peaks for 10 to 80 degrees two-theta, sorted by position:
| 2θ/deg | I (rel.) |
| --- | --- |
| 31.18 | 100 |
| 36.15 | 72 |
| 52.06 | 49 |
| 61.94 | 45 |
| 65.02 | 17 |
| 76.72 | 8 |

Structural model:
a b c (Å): 3.5147 3.5147 24.8298
angles (deg): 90.00 90.00 90.00
Space group I4/mmm (No. 139)
Symmetry-distinct sites (fractional):
Nd: 0.0000 0.0000 0.0000 (multiplicity 2)
Dy: 0.0000 0.0000 0.2008 (multiplicity 4)
Dy: 0.0000 0.0000 0.3972 (multiplicity 4)
N: 0.0000 0.0000 0.1035 (multiplicity 4)
N: 0.0000 0.0000 0.2996 (multiplicity 4)
N: 0.0000 0.0000 0.5000 (multiplicity 2)

***

Structure and computed powder diffraction line list of Tb2HoTmS6 (a GGA-PBE-relaxed structure; λ = 1.5418 Å (Cu Kα)).
Lines closer than 0.1° are merged.

Top 10 peaks for 10 to 80 degrees two-theta, sorted by position:
| 2θ/deg | I (rel.) |
| --- | --- |
| 17.69 | 41 |
| 24.37 | 97 |
| 25.84 | 100 |
| 35.82 | 46 |
| 39.24 | 82 |
| 44.69 | 46 |
| 45.57 | 48 |
| 51.83 | 25 |
| 61.67 | 21 |
| 65.29 | 20 |

Structural model:
a b c (Å): 6.8957 6.8957 18.4631
angles (deg): 90.00 90.00 120.00
Space group R3 (No. 146, hexagonal axes)
Symmetry-distinct sites (fractional):
Tb: 0.0000 0.0000 0.0000 (multiplicity 3)
Tb: 0.0000 0.0000 0.4994 (multiplicity 3)
Ho: 0.0000 0.0000 0.2012 (multiplicity 3)
Tm: 0.0000 0.0000 0.7003 (multiplicity 3)
S: 0.0361 0.3603 0.7685 (multiplicity 9)
S: 0.0371 0.6729 0.2689 (multiplicity 9)

***

Structure and computed powder diffraction line list of PaPd4Pt2 (a GGA-PBE-relaxed structure; λ = 1.5418 Å (Cu Kα)).
Lines closer than 0.1° are merged.

Top 10 peaks for 10 to 80 degrees two-theta, sorted by position:
| 2θ/deg | I (rel.) |
| --- | --- |
| 22.30 | 26 |
| 22.93 | 24 |
| 35.41 | 33 |
| 38.16 | 51 |
| 39.52 | 79 |
| 40.92 | 100 |
| 53.01 | 16 |
| 69.88 | 15 |
| 70.91 | 18 |
| 72.09 | 15 |

Structural model:
a b c (Å): 4.6313 4.6336 6.9735
angles (deg): 99.93 99.79 118.79
Space group P-1 (No. 2)
Symmetry-distinct sites (fractional):
Pa: 0.0000 0.0000 0.0000 (multiplicity 1)
Pd: 0.2177 0.5555 0.7737 (multiplicity 2)
Pd: 0.4454 0.7818 0.2257 (multiplicity 2)
Pt: 0.1977 0.1969 0.3943 (multiplicity 2)

***

Structure and computed powder diffraction line list of SmErTeO6 (a GGA-PBE-relaxed structure; λ = 1.5418 Å (Cu Kα)).
Lines closer than 0.1° are merged.

Top 10 peaks for 10 to 80 degrees two-theta, sorted by position:
| 2θ/deg | I (rel.) |
| --- | --- |
| 18.22 | 11 |
| 26.05 | 100 |
| 32.26 | 50 |
| 37.30 | 11 |
| 41.93 | 27 |
| 49.83 | 45 |
| 53.87 | 27 |
| 57.53 | 16 |
| 73.69 | 11 |
| 79.52 | 11 |

Structural model:
a b c (Å): 5.5493 5.5493 9.7372
angles (deg): 90.00 90.00 120.00
Space group P-31c (No. 163)
Symmetry-distinct sites (fractional):
Sm: 0.0000 0.0000 0.0000 (multiplicity 2)
Er: 0.3333 0.6667 0.2500 (multiplicity 2)
Te: 0.3333 0.6667 0.7500 (multiplicity 2)
O: 0.0397 0.3753 0.6374 (multiplicity 12)

***

Structure and computed powder diffraction line list of Pm3Pr8Mg2 (a GGA-PBE-relaxed structure; λ = 1.5418 Å (Cu Kα)).
Lines closer than 0.1° are merged.

Top 10 peaks for 10 to 80 degrees two-theta, sorted by position:
| 2θ/deg | I (rel.) |
| --- | --- |
| 26.19 | 17 |
| 27.07 | 36 |
| 29.11 | 52 |
| 30.61 | 65 |
| 30.75 | 100 |
| 31.40 | 48 |
| 31.62 | 40 |
| 33.00 | 58 |
| 34.23 | 35 |
| 47.41 | 19 |

Structural model:
a b c (Å): 6.5027 7.4757 9.7784
angles (deg): 90.91 91.03 109.26
Space group P-1 (No. 2)
Symmetry-distinct sites (fractional):
Pm: 0.0000 0.0000 0.0000 (multiplicity 1)
Pm: 0.4875 0.7415 0.5012 (multiplicity 2)
Pr: 0.0389 0.8743 0.3529 (multiplicity 2)
Pr: 0.0432 0.3704 0.3206 (multiplicity 2)
Pr: 0.4037 0.4713 0.8239 (multiplicity 2)
Pr: 0.4374 0.9744 0.8088 (multiplicity 2)
Mg: 0.1703 0.6565 0.0611 (multiplicity 2)

***

Structure and computed powder diffraction line list of Cu2S7Cl2 (a GGA-PBE-relaxed structure; λ = 1.5418 Å (Cu Kα)).
Lines closer than 0.1° are merged.

Top 10 peaks for 10 to 80 degrees two-theta, sorted by position:
| 2θ/deg | I (rel.) |
| --- | --- |
| 10.15 | 100 |
| 17.59 | 45 |
| 18.78 | 51 |
| 19.80 | 37 |
| 20.38 | 68 |
| 26.41 | 27 |
| 26.77 | 35 |
| 29.48 | 26 |
| 30.74 | 29 |
| 32.70 | 33 |

Structural model:
a b c (Å): 3.6112 9.1013 9.6686
angles (deg): 65.09 80.49 81.07
Space group P1 (No. 1)
Symmetry-distinct sites (fractional):
Cu: 0.0000 0.0000 0.0000 (multiplicity 1)
Cu: 0.2382 0.5946 0.8458 (multiplicity 1)
S: 0.0631 0.2495 0.5606 (multiplicity 1)
S: 0.3106 0.9009 0.2172 (multiplicity 1)
S: 0.5917 0.9512 0.8735 (multiplicity 1)
S: 0.6680 0.7068 0.9115 (multiplicity 1)
S: 0.6708 0.3020 0.4260 (multiplicity 1)
S: 0.7770 0.2407 0.0191 (multiplicity 1)
S: 0.8050 0.4383 0.8188 (multiplicity 1)
Cl: 0.4526 0.6488 0.3003 (multiplicity 1)
Cl: 0.9967 0.9255 0.4081 (multiplicity 1)